No. 1
Diffraction record for YScCu2As4. The X-ray powder pattern is calculated, not measured: it uses the PBE geometry in OQMD and Cu Kα X-rays.

Atomic structure:
abc: 3.860 3.860 9.660
angles: 90.00 90.00 90.00
Space group P4mm (No. 99)
Asymmetric unit:
Y: 0.000 0.000 0.000 [1 per cell]
Sc: 0.500 0.500 0.531 [1 per cell]
Cu: 0.000 0.500 0.273 [2 per cell]
As: 0.000 0.000 0.439 [1 per cell]
As: 0.000 0.500 0.757 [2 per cell]
As: 0.500 0.500 0.107 [1 per cell]

Top 10 peaks for 15 to 90 degrees two-theta, sorted by position:
h k l	2θ/deg	d/Å	I_rel
1 0 2	29.63	3.015	23
0 0 4	37.23	2.415	12
1 1 2	37.86	2.376	100
1 0 4	44.24	2.047	10
2 0 0	47.09	1.930	36
1 1 4	50.46	1.809	10
1 0 5	53.00	1.728	10
2 0 4	61.51	1.508	10
2 2 0	68.79	1.365	11
3 1 2	81.30	1.183	20

No. 2
Diffraction record for LaNdGd2Zn12Ge6. The X-ray powder pattern is calculated, not measured: it uses the PBE geometry in OQMD and Cu Kα X-rays.

Atomic structure:
abc: 7.652 4.081 13.251
angles: 90.00 90.00 90.00
Space group Pm (No. 6)
Asymmetric unit:
La: 0.000 0.000 0.000 [1 per cell]
Nd: 0.500 0.000 0.831 [1 per cell]
Gd: 0.500 0.000 0.498 [1 per cell]
Gd: 0.999 0.000 0.334 [1 per cell]
Zn: 0.142 0.500 0.522 [1 per cell]
Zn: 0.145 0.500 0.808 [1 per cell]
Zn: 0.189 0.000 0.664 [1 per cell]
Zn: 0.214 0.500 0.168 [1 per cell]
Zn: 0.402 0.000 0.261 [1 per cell]
Zn: 0.410 0.000 0.071 [1 per cell]
Zn: 0.641 0.500 0.311 [1 per cell]
Zn: 0.645 0.500 0.023 [1 per cell]
Zn: 0.690 0.000 0.170 [1 per cell]
Zn: 0.712 0.500 0.664 [1 per cell]
Zn: 0.903 0.000 0.570 [1 per cell]
Zn: 0.904 0.000 0.759 [1 per cell]
Ge: 0.306 0.500 0.360 [1 per cell]
Ge: 0.311 0.500 0.974 [1 per cell]
Ge: 0.384 0.500 0.662 [1 per cell]
Ge: 0.806 0.500 0.472 [1 per cell]
Ge: 0.808 0.500 0.856 [1 per cell]
Ge: 0.884 0.500 0.170 [1 per cell]

Top 10 peaks for 15 to 90 degrees two-theta, sorted by position:
h k l	2θ/deg	d/Å	I_rel
2 1 0	32.07	2.791	100
2 1 -2	34.88	2.572	15
3 0 1	35.86	2.504	23
3 0 3	40.86	2.209	32
3 1 1	42.34	2.135	53
0 2 0	44.39	2.041	24
3 0 -5	49.60	1.838	13
4 1 0	52.86	1.732	14
3 2 3	61.91	1.499	18
4 1 6	68.89	1.363	21

No. 3
Diffraction record for Sm2Ho2CI2Br3. The X-ray powder pattern is calculated, not measured: it uses the PBE geometry in OQMD and Cu Kα X-rays.

Atomic structure:
abc: 18.594 3.877 8.242
angles: 90.00 101.94 90.00
Space group C2/m (No. 12)
Asymmetric unit:
Sm: 0.136 0.000 0.071 [4 per cell]
Ho: 0.001 0.500 0.803 [4 per cell]
C: 0.000 0.000 0.000 [2 per cell]
I: 0.170 0.500 0.800 [4 per cell]
Br: 0.000 0.000 0.500 [2 per cell]
Br: 0.154 0.500 0.341 [4 per cell]

Top 10 peaks for 15 to 90 degrees two-theta, sorted by position:
h k l	2θ/deg	d/Å	I_rel
3 1 -1	28.31	3.152	18
6 0 0	29.46	3.032	49
3 1 1	30.66	2.916	20
1 1 -2	31.69	2.824	100
5 1 0	33.79	2.653	21
5 1 -1	33.94	2.641	18
2 0 3	36.78	2.444	17
5 1 2	43.58	2.077	30
7 1 -2	44.02	2.057	36
0 2 0	46.87	1.938	20